Record 1
This entry pairs a crystal structure of LiCrP4O13 with its calculated PXRD pattern. Radiation: λ = 1.5418 Å (Cu Kα). Structure: a DFT-relaxed cell (PBE+U, the Materials Project).
Intensities are scaled so that the largest is 100.

Cell and atoms:
Cell: 5.1289 7.9710 13.9934 Å, 81.03 89.84 81.22°
Sites, in units of the cell vectors:
Li: 0.0000 0.0000 0.0000
Li: 0.4044 0.1764 0.5161
Cr: 0.8752 0.6127 0.7623
Cr: 0.9739 0.5216 0.2514
P: 0.0685 0.9825 0.6911
P: 0.0977 0.9077 0.2135
P: 0.3397 0.7646 0.8646
P: 0.4094 0.4525 0.6652
P: 0.4394 0.6715 0.3547
P: 0.5089 0.3807 0.1433
P: 0.7509 0.2270 0.8087
P: 0.7700 0.1607 0.3181
O: 0.1145 0.0396 0.1277
O: 0.1152 0.5293 0.6689
O: 0.1717 0.6285 0.8441
O: 0.1950 0.0303 0.5978
O: 0.2143 0.4483 0.1553
O: 0.2700 0.5350 0.3356
O: 0.2699 0.8247 0.9591
O: 0.2845 0.9268 0.7775
O: 0.3706 0.7341 0.4490
O: 0.3795 0.8317 0.2645
O: 0.4641 0.3020 0.7614
O: 0.4654 0.3710 0.5766
O: 0.5639 0.3354 0.0444
O: 0.5766 0.2102 0.2249
O: 0.5806 0.5903 0.6797
O: 0.6233 0.1342 0.4086
O: 0.6350 0.6937 0.8580
O: 0.6781 0.5130 0.1677
O: 0.7335 0.6014 0.3483
O: 0.7466 0.0906 0.8932
O: 0.8833 0.8472 0.6977
O: 0.8838 0.3801 0.8261
O: 0.9003 0.1552 0.7181
O: 0.9362 0.9809 0.3013
O: 0.9645 0.7565 0.1930
O: 0.9689 0.2887 0.3123

Main lines, in order of rising 2θ (10° ≤ 2θ ≤ 90°):
- d 7.780, 2θ 11.4, I = 10
- d 6.910, 2θ 12.8, I = 100
- d 4.804, 2θ 18.5, I = 8
- d 4.581, 2θ 19.4, I = 13
- d 4.045, 2θ 22.0, I = 14
- d 3.600, 2θ 24.7, I = 23
- d 3.344, 2θ 26.7, I = 16
- d 3.182, 2θ 28.0, I = 12
- d 3.165, 2θ 28.2, I = 19
- d 2.743, 2θ 32.6, I = 6

---

Record 2
This entry pairs a crystal structure of Li2CrP4O13 with its calculated PXRD pattern. Radiation: λ = 1.5418 Å (Cu Kα). Structure: a DFT-relaxed cell (PBE+U, the Materials Project).
Intensities are scaled so that the largest is 100.

Cell and atoms:
Cell: 5.0586 7.9587 13.3315 Å, 78.40 87.43 81.96°
Sites, in units of the cell vectors:
Li: 0.0728 0.3239 0.0181
Li: 0.4062 0.3041 0.4842
Li: 0.5938 0.6959 0.5158
Li: 0.9272 0.6761 0.9819
Cr: 0.4502 0.0482 0.2569
Cr: 0.5498 0.9518 0.7431
P: 0.0064 0.1055 0.8498
P: 0.0958 0.8010 0.6394
P: 0.3212 0.6571 0.3042
P: 0.3519 0.5738 0.8232
P: 0.6481 0.4262 0.1768
P: 0.6788 0.3429 0.6958
P: 0.9042 0.1990 0.3606
P: 0.9936 0.8945 0.1502
O: 0.0422 0.7377 0.2512
O: 0.0697 0.8214 0.0568
O: 0.1274 0.6434 0.7385
O: 0.1638 0.0356 0.1677
O: 0.2048 0.1336 0.3639
O: 0.2089 0.7386 0.5458
O: 0.2120 0.5205 0.9236
O: 0.2545 0.9439 0.6608
O: 0.2852 0.5106 0.3894
O: 0.3011 0.0309 0.8451
O: 0.4504 0.8039 0.3322
O: 0.4543 0.2945 0.1826
O: 0.4968 0.5982 0.2091
O: 0.5032 0.4018 0.7909
O: 0.5457 0.7055 0.8174
O: 0.5496 0.1961 0.6678
O: 0.6989 0.9691 0.1549
O: 0.7148 0.4894 0.6106
O: 0.7455 0.0561 0.3392
O: 0.7880 0.4795 0.0764
O: 0.7911 0.2614 0.4542
O: 0.7952 0.8664 0.6361
O: 0.8362 0.9644 0.8323
O: 0.8726 0.3566 0.2615
O: 0.9303 0.1786 0.9432
O: 0.9578 0.2623 0.7488

Main lines, in order of rising 2θ (10° ≤ 2θ ≤ 90°):
- d 7.726, 2θ 11.5, I = 11
- d 6.529, 2θ 13.6, I = 100
- d 4.563, 2θ 19.5, I = 10
- d 4.485, 2θ 19.8, I = 15
- d 4.007, 2θ 22.2, I = 18
- d 3.529, 2θ 25.2, I = 36
- d 3.278, 2θ 27.2, I = 14
- d 3.165, 2θ 28.2, I = 23
- d 3.070, 2θ 29.1, I = 24
- d 2.638, 2θ 34.0, I = 13

---

Record 3
This entry pairs a crystal structure of LiCrPO5 with its calculated PXRD pattern. Radiation: λ = 1.5418 Å (Cu Kα). Structure: a DFT-relaxed cell (PBE+U, the Materials Project).
Intensities are scaled so that the largest is 100.

Cell and atoms:
Cell: 7.1336 7.1336 10.5203 Å, 110.27 110.27 43.17°
Sites, in units of the cell vectors:
Li: 0.0000 0.5000 0.0000
Li: 0.0036 0.9964 0.7500
Li: 0.5000 0.0000 0.5000
Li: 0.9964 0.0036 0.2500
Cr: 0.0000 0.0000 0.0000
Cr: 0.0000 0.0000 0.5000
Cr: 0.0000 0.5000 0.5000
Cr: 0.5000 0.0000 0.0000
P: 0.3746 0.3758 0.3139
P: 0.3758 0.3746 0.8139
P: 0.6242 0.6254 0.1861
P: 0.6254 0.6242 0.6861
O: 0.0781 0.1763 0.4666
O: 0.1763 0.0781 0.9666
O: 0.1847 0.6917 0.8521
O: 0.2153 0.6859 0.3524
O: 0.2867 0.3036 0.3898
O: 0.3036 0.2867 0.8898
O: 0.3083 0.8153 0.6479
O: 0.3141 0.3200 0.6570
O: 0.3141 0.7847 0.1476
O: 0.3200 0.3141 0.1570
O: 0.6800 0.6859 0.8430
O: 0.6859 0.2153 0.8524
O: 0.6859 0.6800 0.3430
O: 0.6917 0.1847 0.3521
O: 0.6964 0.7133 0.1102
O: 0.7133 0.6964 0.6102
O: 0.7847 0.3141 0.6476
O: 0.8153 0.3083 0.1479
O: 0.8237 0.9219 0.0334
O: 0.9219 0.8237 0.5334

Main lines, in order of rising 2θ (10° ≤ 2θ ≤ 90°):
- d 4.882, 2θ 18.2, I = 17
- d 4.604, 2θ 19.3, I = 21
- d 4.097, 2θ 21.7, I = 15
- d 3.715, 2θ 24.0, I = 13
- d 3.233, 2θ 27.6, I = 48
- d 3.202, 2θ 27.9, I = 100
- d 2.302, 2θ 39.1, I = 14
- d 2.048, 2θ 44.2, I = 12
- d 1.857, 2θ 49.0, I = 12
- d 1.603, 2θ 57.5, I = 14

---

Record 4
This entry pairs a crystal structure of Li2CrP2O8 with its calculated PXRD pattern. Radiation: λ = 1.5418 Å (Cu Kα). Structure: a DFT-relaxed cell (PBE+U, the Materials Project).
Intensities are scaled so that the largest is 100.

Cell and atoms:
Cell: 4.8843 17.4371 6.5963 Å, 90.00 94.52 90.00°
Sites, in units of the cell vectors:
Li: 0.0123 0.0000 0.0429
Li: 0.0348 0.6719 0.7352
Li: 0.4452 0.2507 0.0644
Li: 0.4664 0.4341 0.7423
Li: 0.5336 0.9341 0.2577
Li: 0.5548 0.7507 0.9356
Li: 0.9652 0.1719 0.2648
Li: 0.9877 0.5000 0.9571
Cr: 0.0511 0.6827 0.2417
Cr: 0.4614 0.4248 0.2682
Cr: 0.5386 0.9248 0.7318
Cr: 0.9489 0.1827 0.7583
P: 0.0224 0.0194 0.5291
P: 0.0742 0.8409 0.9688
P: 0.4256 0.2691 0.5328
P: 0.4802 0.0903 0.9721
P: 0.5198 0.5903 0.0279
P: 0.5744 0.7691 0.4672
P: 0.9258 0.3409 0.0312
P: 0.9776 0.5194 0.4709
O: 0.0320 0.1085 0.5388
O: 0.1169 0.4952 0.6781
O: 0.1189 0.4859 0.2872
O: 0.1230 0.7521 0.0027
O: 0.1682 0.1156 0.9602
O: 0.1818 0.8888 0.1499
O: 0.2243 0.8587 0.7758
O: 0.2425 0.3560 0.0726
O: 0.2626 0.7469 0.4355
O: 0.2823 0.2459 0.7275
O: 0.3060 0.2301 0.3380
O: 0.3262 0.9905 0.5387
O: 0.3800 0.6207 0.8302
O: 0.3808 0.6215 0.2141
O: 0.3981 0.3577 0.5097
O: 0.4761 0.0003 0.9670
O: 0.5239 0.5003 0.0330
O: 0.6019 0.8577 0.4903
O: 0.6192 0.1215 0.7859
O: 0.6200 0.1207 0.1698
O: 0.6738 0.4905 0.4613
O: 0.6940 0.7301 0.6620
O: 0.7177 0.7459 0.2725
O: 0.7374 0.2469 0.5645
O: 0.7575 0.8560 0.9274
O: 0.7757 0.3587 0.2242
O: 0.8182 0.3888 0.8501
O: 0.8318 0.6156 0.0398
O: 0.8770 0.2521 0.9973
O: 0.8811 0.9859 0.7128
O: 0.8831 0.9952 0.3219
O: 0.9680 0.6085 0.4612

Main lines, in order of rising 2θ (10° ≤ 2θ ≤ 90°):
- d 6.153, 2θ 14.4, I = 99
- d 4.355, 2θ 20.4, I = 31
- d 3.688, 2θ 24.1, I = 100
- d 3.633, 2θ 24.5, I = 49
- d 3.463, 2θ 25.7, I = 55
- d 3.334, 2θ 26.7, I = 24
- d 2.692, 2θ 33.3, I = 19
- d 2.625, 2θ 34.2, I = 51
- d 2.495, 2θ 36.0, I = 43
- d 1.454, 2θ 64.0, I = 16

---

Record 5
This entry pairs a crystal structure of Li3CrP2O8 with its calculated PXRD pattern. Radiation: λ = 1.5418 Å (Cu Kα). Structure: a DFT-relaxed cell (PBE+U, the Materials Project).
Intensities are scaled so that the largest is 100.

Cell and atoms:
Cell: 6.2514 5.4098 8.2166 Å, 90.00 90.52 90.00°
Sites, in units of the cell vectors:
Li: 0.0031 0.2500 0.2482
Li: 0.2238 0.7500 0.4242
Li: 0.2285 0.2500 0.9224
Li: 0.7715 0.7500 0.0776
Li: 0.7762 0.2500 0.5758
Li: 0.9969 0.7500 0.7518
Cr: 0.4995 0.7500 0.7496
Cr: 0.5005 0.2500 0.2504
P: 0.2649 0.7500 0.1005
P: 0.2679 0.2500 0.5999
P: 0.7321 0.7500 0.4001
P: 0.7350 0.2500 0.8995
O: 0.0622 0.7500 0.9987
O: 0.0670 0.2500 0.4960
O: 0.2714 0.5185 0.2182
O: 0.2714 0.9815 0.2182
O: 0.2717 0.0188 0.7180
O: 0.2717 0.4812 0.7180
O: 0.4668 0.7500 0.9920
O: 0.4713 0.2500 0.4930
O: 0.5287 0.7500 0.5070
O: 0.5332 0.2500 0.0080
O: 0.7283 0.5188 0.2820
O: 0.7283 0.9812 0.2820
O: 0.7286 0.0185 0.7818
O: 0.7286 0.4815 0.7818
O: 0.9330 0.7500 0.5040
O: 0.9378 0.2500 0.0013

Main lines, in order of rising 2θ (10° ≤ 2θ ≤ 90°):
- d 6.251, 2θ 14.2, I = 65
- d 3.653, 2θ 24.4, I = 100
- d 3.447, 2θ 25.8, I = 62
- d 2.705, 2θ 33.1, I = 32
- d 2.576, 2θ 34.8, I = 36
- d 2.565, 2θ 35.0, I = 37
- d 2.443, 2θ 36.8, I = 35
- d 2.259, 2θ 39.9, I = 16
- d 2.045, 2θ 44.3, I = 15
- d 1.445, 2θ 64.5, I = 20